The following is a calculated powder diffraction line list of Na5CrO4. It was derived from a DFT-relaxed cell (GGA+U, Alexandria), using Cu Kα (weighted mean of Kα1 and Kα2).
Intensities are scaled so that the largest is 100.

Atomic structure:
```
data_Na5CrO4
_chemical_formula_sum 'Na10 Cr2 O8'
_space_group_name_H-M_alt 'P m m n'
_space_group_IT_number 59
_cell_length_a 7.2686
_cell_length_b 7.6317
_cell_length_c 5.3752
_cell_angle_alpha 90.00
_cell_angle_beta 90.00
_cell_angle_gamma 90.00
loop_
_space_group_symop_operation_xyz
'x,y,z'
'-x,-y,-z'
'-x+1/2,-y+1/2,z'
'x+1/2,y+1/2,-z'
'x+1/2,-y,-z'
'-x+1/2,y,z'
'-x,y+1/2,-z'
'x,-y+1/2,z'
loop_
_atom_site_label
_atom_site_type_symbol
_atom_site_fract_x
_atom_site_fract_y
_atom_site_fract_z
Na1 Na 0.0122 0.0565 0.2425
Na2 Na 0.2500 0.7500 0.3229
Cr1 Cr 0.2500 0.2500 0.7167
O1 O 0.0255 0.2500 0.9007
O2 O 0.2500 0.0217 0.5380
```

The 10 most intense peaks (2θ from 10° to 90°), by intensity:
hkl  2θ (°)  intensity
0 3 1  39.18  100
2 2 2  48.41  99
2 1 1  31.96  95
0 1 1  20.21  75
1 1 0  16.84  54
2 0 1  29.67  53
4 0 0  50.21  38
0 0 2  33.34  38
2 2 0  34.07  37
4 3 1  65.47  33